Diffraction record for UH2CO3F3. The X-ray diffraction stick pattern is theoretical, not measured: it uses a PBE-relaxed structure and Cu Ka.
No peak broadening, texture or thermal motion is included.

Principal peaks in the range 2θ from 10° to 90°, by intensity:
(hkl), Position (°2θ), d [Å], intensity
2 0 0, 10.2, 8.674, 1000
1 1 1, 18.6, 4.764, 614
3 1 0, 20.9, 4.250, 578
2 0 2, 24.2, 3.674, 465
2 0 -2, 22.0, 4.042, 440
1 1 0, 15.0, 5.893, 435

Atomic structure:
```
data_UH2CO3F3
_chemical_formula_sum 'U8 H16 C8 O24 F24'
_symmetry_space_group_name_H-M 'C 1 2/c 1'
_symmetry_Int_Tables_number 15
_cell_length_a 17.480
_cell_length_b 6.266
_cell_length_c 8.633
_cell_angle_alpha 90.00
_cell_angle_beta 97.02
_cell_angle_gamma 90.00
loop_
_symmetry_equiv_pos_as_xyz
'x,y,z'
'-x,-y,-z'
'-x,y,-z+1/2'
'x,-y,z+1/2'
'x+1/2,y+1/2,z'
'-x+1/2,-y+1/2,-z'
'-x+1/2,y+1/2,-z+1/2'
'x+1/2,-y+1/2,z+1/2'
loop_
_atom_site_label
_atom_site_fract_x
_atom_site_fract_y
_atom_site_fract_z
U1 0.174 0.114 0.128
H1 0.081 0.477 0.686
H2 0.137 0.476 0.340
C1 0.004 0.110 0.540
O1 0.052 0.237 0.985
O2 0.068 0.147 0.625
O3 0.108 0.408 0.247
F1 0.157 0.043 0.391
F2 0.201 0.399 0.976
F3 0.236 0.195 0.710
```